For La3Dy6Th2, a PBE-relaxed structure gives the simulated XRD peak list in this record (Cu Kα (λ = 1.5418 Å)).
Peak positions follow from Bragg's law for the DFT cell and can differ from measured ones.

Main lines, low angle first (5° ≤ 2θ ≤ 70°):
2theta, Rel. int., h k l
16.70, 4, 1 1 0
17.28, 4, 1 1 -1
30.63, 100, 1 3 1
31.32, 31, 0 0 4
35.72, 66, 2 0 2
50.96, 25, 0 6 0
51.86, 22, 1 3 5
60.64, 15, 4 0 0
61.01, 19, 0 6 4
61.10, 9, 3 3 3
61.84, 13, 2 0 6
63.78, 12, 4 0 -4

```
data_La3Dy6Th2
_symmetry_space_group_name_H-M 'C 1 2/m 1'
_symmetry_Int_Tables_number 12
_cell_length_a 6.205
_cell_length_b 10.757
_cell_length_c 11.614
_cell_angle_alpha 90.00
_cell_angle_beta 100.37
_cell_angle_gamma 90.00
loop_
_symmetry_equiv_pos_as_xyz
'x,y,z'
'-x,-y,-z'
'-x,y,-z'
'x,-y,z'
'x+1/2,y+1/2,z'
'-x+1/2,-y+1/2,-z'
'-x+1/2,y+1/2,-z'
'x+1/2,-y+1/2,z'
loop_
_atom_site_label
_atom_site_type_symbol
_atom_site_fract_x
_atom_site_fract_y
_atom_site_fract_z
La1 La 0.000 0.000 0.000
La2 La 0.000 0.336 0.000
Dy1 Dy 0.247 0.000 0.741
Dy2 Dy 0.247 0.334 0.741
Th1 Th 0.000 0.166 0.500
```

***

For La2Dy2Y6Th, a PBE-relaxed structure gives the simulated XRD peak list in this record (Cu Kα (λ = 1.5418 Å)).
Peak positions follow from Bragg's law for the DFT cell and can differ from measured ones.

Main lines, low angle first (5° ≤ 2θ ≤ 70°):
2theta, Rel. int., h k l
18.89, 27, 0 2 1
29.32, 30, 1 3 0
29.54, 25, 0 2 3
30.69, 48, 1 3 1
30.81, 60, 2 0 -2
32.03, 48, 0 0 4
32.99, 100, 2 0 2
34.06, 41, 1 3 2
37.45, 26, 1 3 -3
44.79, 16, 1 3 4
49.79, 15, 3 3 0
59.03, 16, 2 0 6

```
data_La2Dy2Y6Th
_symmetry_space_group_name_H-M 'C 1 2/m 1'
_symmetry_Int_Tables_number 12
_cell_length_a 6.501
_cell_length_b 10.355
_cell_length_c 11.211
_cell_angle_alpha 90.00
_cell_angle_beta 94.41
_cell_angle_gamma 90.00
loop_
_symmetry_equiv_pos_as_xyz
'x,y,z'
'-x,-y,-z'
'-x,y,-z'
'x,-y,z'
'x+1/2,y+1/2,z'
'-x+1/2,-y+1/2,-z'
'-x+1/2,y+1/2,-z'
'x+1/2,-y+1/2,z'
loop_
_atom_site_label
_atom_site_type_symbol
_atom_site_fract_x
_atom_site_fract_y
_atom_site_fract_z
La1 La 0.000 0.158 0.000
Dy1 Dy 0.000 0.215 0.500
Y1 Y 0.214 0.334 0.247
Y2 Y 0.247 0.500 0.699
Th1 Th 0.000 0.500 0.000
```

***

For LaDy2YTh, a PBE-relaxed structure gives the simulated XRD peak list in this record (Cu Kα (λ = 1.5418 Å)).
Peak positions follow from Bragg's law for the DFT cell and can differ from measured ones.

Main lines, low angle first (5° ≤ 2θ ≤ 70°):
2theta, Rel. int., h k l
10.14, 11, 0 0 1
15.57, 26, 0 1 0
30.75, 18, 0 0 3
31.48, 100, 0 2 0
32.60, 13, 1 0 2
34.64, 19, 0 1 3
36.31, 30, 1 1 2
44.55, 13, 0 2 3
45.92, 10, 1 2 2
51.83, 11, 1 1 4
56.01, 14, 1 3 1
61.46, 15, 1 1 5

```
data_LaDy2YTh
_symmetry_space_group_name_H-M 'P m m m'
_symmetry_Int_Tables_number 47
_cell_length_a 3.537
_cell_length_b 5.691
_cell_length_c 8.723
_cell_angle_alpha 90.00
_cell_angle_beta 90.00
_cell_angle_gamma 90.00
loop_
_symmetry_equiv_pos_as_xyz
'x,y,z'
'-x,-y,-z'
'-x,-y,z'
'x,y,-z'
'x,-y,-z'
'-x,y,z'
'-x,y,-z'
'x,-y,z'
loop_
_atom_site_label
_atom_site_type_symbol
_atom_site_fract_x
_atom_site_fract_y
_atom_site_fract_z
La1 La 0.000 0.000 0.000
Dy1 Dy 0.000 0.500 0.322
Y1 Y 0.500 0.000 0.500
Th1 Th 0.500 0.500 0.000
```